No. 1
The following is a calculated powder diffraction line list of UCrCuSi2. It was derived from a cell relaxed with GGA-PBE, using CuKα.

Structure:
```
UCrCuSi2
1.0
3.9416 0.0000 0.0000
0.0000 3.9416 0.0000
0.0000 0.0000 10.3585
U Cr Cu Si
2 2 2 4
direct
0.0000 0.0000 0.0000
0.5000 0.5000 0.5000
0.0000 0.5000 0.7500
0.5000 0.0000 0.2500
0.0000 0.5000 0.2500
0.5000 0.0000 0.7500
0.0000 0.0000 0.3853
0.0000 0.0000 0.6147
0.5000 0.5000 0.1147
0.5000 0.5000 0.8853
```

Peak list (8 most intense, 10° ≤ 2θ ≤ 90°, low angle first)
d 3.684, 24.16°, intensity 74; d 2.597, 34.53°, intensity 62; d 2.454, 36.61°, intensity 100; d 1.971, 46.05°, intensity 34; d 1.834, 49.72°, intensity 26; d 1.738, 52.67°, intensity 20; d 1.569, 58.84°, intensity 44; d 1.212, 79.01°, intensity 21

No. 2
The following is a calculated powder diffraction line list of Ta2Cr3Cu. It was derived from a cell relaxed with GGA-PBE, using CuKα.

Structure:
```
Ta2Cr3Cu
1.0
4.7926 0.0000 0.0000
-2.3963 4.1506 0.0000
0.0000 0.0000 8.3232
Ta Cr Cu
4 6 2
direct
0.3333 0.6667 0.0661
0.3333 0.6667 0.4339
0.6667 0.3333 0.5661
0.6667 0.3333 0.9339
0.1712 0.3424 0.7500
0.1712 0.8288 0.7500
0.3424 0.1712 0.2500
0.6576 0.8288 0.7500
0.8288 0.1712 0.2500
0.8288 0.6576 0.2500
0.0000 0.0000 0.0000
0.0000 0.0000 0.5000
```

Peak list (8 most intense, 10° ≤ 2θ ≤ 90°, low angle first)
d 4.156, 21.38°, intensity 28; d 2.396, 37.53°, intensity 66; d 2.307, 39.05°, intensity 100; d 2.077, 43.58°, intensity 86; d 2.014, 45.02°, intensity 39; d 1.366, 68.74°, intensity 36; d 1.313, 71.92°, intensity 18; d 1.299, 72.84°, intensity 22

No. 3
The following is a calculated powder diffraction line list of Cr2CuTe4. It was derived from a cell relaxed with GGA-PBE, using CuKα.

Structure:
```
Cr2CuTe4
1.0
0.0000 5.5982 5.5982
5.5982 0.0000 5.5982
5.5982 5.5982 0.0000
Cr Cu Te
4 2 8
direct
0.0000 0.0000 0.0000
0.0000 0.0000 0.5000
0.0000 0.5000 0.0000
0.5000 0.0000 0.0000
0.3750 0.3750 0.3750
0.6250 0.6250 0.6250
0.2286 0.7571 0.7571
0.2429 0.2429 0.2429
0.2429 0.2429 0.7714
0.2429 0.7714 0.2429
0.7571 0.2286 0.7571
0.7571 0.7571 0.2286
0.7571 0.7571 0.7571
0.7714 0.2429 0.2429
```

Peak list (8 most intense, 10° ≤ 2θ ≤ 90°, low angle first)
d 3.232, 27.60°, intensity 91; d 2.799, 31.97°, intensity 89; d 2.155, 41.93°, intensity 19; d 1.979, 45.85°, intensity 100; d 1.688, 54.35°, intensity 39; d 1.616, 56.98°, intensity 21; d 1.252, 76.03°, intensity 25; d 1.143, 84.85°, intensity 29

No. 4
The following is a calculated powder diffraction line list of Cr4Cu3Te8. It was derived from a cell relaxed with GGA-PBE, using CuKα.

Structure:
```
Cr4Cu3Te8
1.0
-4.0036 4.0138 5.6619
4.0036 -4.0138 5.6619
4.0036 4.0138 -5.6619
Cr Cu Te
4 3 8
direct
0.2429 0.0000 0.2429
0.7512 0.0079 0.2566
0.7512 0.4946 0.7434
0.7571 0.0000 0.7571
0.1206 0.6206 0.5000
0.3713 0.3713 0.0000
0.6070 0.6070 0.0000
0.0016 0.7582 0.2434
0.4976 0.2214 0.7238
0.4976 0.7738 0.2762
0.5040 0.2394 0.2645
0.5148 0.7582 0.7566
0.9749 0.2394 0.7355
0.9896 0.2252 0.2355
0.9896 0.7541 0.7645
```

Peak list (8 most intense, 10° ≤ 2θ ≤ 90°, low angle first)
d 3.418, 26.07°, intensity 22; d 3.272, 27.26°, intensity 99; d 2.833, 31.58°, intensity 84; d 2.181, 41.40°, intensity 25; d 2.004, 45.25°, intensity 100; d 2.002, 45.30°, intensity 19; d 1.709, 53.63°, intensity 34; d 1.156, 83.64°, intensity 21

No. 5
The following is a calculated powder diffraction line list of ZrCrCu. It was derived from a cell relaxed with GGA-PBE, using CuKα.

Structure:
```
ZrCrCu
1.0
4.7445 0.0000 0.0000
0.0000 5.1315 0.0000
0.0000 0.0000 7.3848
Zr Cr Cu
4 4 4
direct
0.0000 0.2500 0.1171
0.0000 0.7500 0.8829
0.5000 0.2500 0.3829
0.5000 0.7500 0.6171
0.2500 0.2500 0.7500
0.2500 0.7500 0.2500
0.7500 0.2500 0.7500
0.7500 0.7500 0.2500
0.0000 0.0000 0.5000
0.0000 0.5000 0.5000
0.5000 0.0000 0.0000
0.5000 0.5000 0.0000
```

Peak list (8 most intense, 10° ≤ 2θ ≤ 90°, low angle first)
d 2.534, 35.43°, intensity 72; d 2.219, 40.65°, intensity 47; d 2.185, 41.32°, intensity 42; d 2.158, 41.85°, intensity 100; d 2.107, 42.92°, intensity 31; d 2.067, 43.79°, intensity 61; d 1.996, 45.44°, intensity 35; d 1.267, 74.96°, intensity 38

No. 6
The following is a calculated powder diffraction line list of DyCr6Ge6. It was derived from a cell relaxed with GGA-PBE, using CuKα.

Structure:
```
DyCr6Ge6
1.0
5.1109 0.0000 0.0000
-2.5554 4.4262 0.0000
0.0000 0.0000 8.3237
Dy Cr Ge
1 6 6
direct
0.0000 0.0000 0.0000
0.0000 0.5000 0.2505
0.0000 0.5000 0.7495
0.5000 0.0000 0.2505
0.5000 0.0000 0.7495
0.5000 0.5000 0.2505
0.5000 0.5000 0.7495
0.0000 0.0000 0.3458
0.0000 0.0000 0.6542
0.3333 0.6667 0.0000
0.3333 0.6667 0.5000
0.6667 0.3333 0.0000
0.6667 0.3333 0.5000
```

Peak list (8 most intense, 10° ≤ 2θ ≤ 90°, low angle first)
d 2.555, 35.12°, intensity 77; d 2.351, 38.29°, intensity 44; d 2.213, 40.77°, intensity 46; d 2.178, 41.47°, intensity 100; d 1.954, 46.47°, intensity 35; d 1.881, 48.40°, intensity 33; d 1.278, 74.22°, intensity 27; d 1.219, 78.44°, intensity 27

No. 7
The following is a calculated powder diffraction line list of DyCr2Ge2. It was derived from a cell relaxed with GGA-PBE, using CuKα.

Structure:
```
DyCr2Ge2
1.0
3.8997 0.0000 0.0000
0.0000 3.8997 0.0000
0.0000 0.0000 11.0931
Dy Cr Ge
2 4 4
direct
0.0000 0.0000 0.0000
0.5000 0.5000 0.5000
0.0000 0.5000 0.2500
0.0000 0.5000 0.7500
0.5000 0.0000 0.2500
0.5000 0.0000 0.7500
0.0000 0.0000 0.3839
0.0000 0.0000 0.6161
0.5000 0.5000 0.1161
0.5000 0.5000 0.8839
```

Peak list (8 most intense, 10° ≤ 2θ ≤ 90°, low angle first)
d 2.757, 32.47°, intensity 34; d 2.683, 33.39°, intensity 95; d 2.469, 36.39°, intensity 100; d 1.950, 46.58°, intensity 53; d 1.928, 47.13°, intensity 51; d 1.577, 58.52°, intensity 38; d 1.371, 68.43°, intensity 33; d 1.204, 79.64°, intensity 19

No. 8
The following is a calculated powder diffraction line list of Dy4CrGe8. It was derived from a cell relaxed with GGA-PBE, using CuKα.

Structure:
```
Dy4CrGe8
1.0
4.0228 0.0000 0.0000
0.0000 4.2316 0.0000
0.0000 0.0000 15.8582
Dy Cr Ge
4 1 8
direct
0.0000 0.0000 0.0000
0.0000 0.5000 0.4923
0.5000 0.0000 0.2028
0.5000 0.5000 0.6993
0.0000 0.0000 0.7920
0.0000 0.0000 0.3501
0.0000 0.0000 0.6407
0.0000 0.5000 0.1530
0.0000 0.5000 0.8574
0.5000 0.0000 0.5355
0.5000 0.0000 0.8647
0.5000 0.5000 0.0438
0.5000 0.5000 0.3458
```

Peak list (8 most intense, 10° ≤ 2θ ≤ 90°, low angle first)
d 3.587, 24.82°, intensity 15; d 2.643, 33.92°, intensity 16; d 2.553, 35.15°, intensity 100; d 2.538, 35.37°, intensity 16; d 2.209, 40.85°, intensity 14; d 2.116, 42.74°, intensity 19; d 2.011, 45.07°, intensity 17; d 1.291, 73.35°, intensity 12

No. 9
The following is a calculated powder diffraction line list of DyMn2Cr4Ge6. It was derived from a cell relaxed with GGA-PBE, using CuKα.

Structure:
```
DyMn2Cr4Ge6
1.0
2.5692 -4.4528 0.0000
2.5692 4.4528 0.0000
0.0000 0.0000 8.2824
Dy Mn Cr Ge
1 2 4 6
direct
0.0000 0.0000 0.0000
0.0000 0.5000 0.2509
0.5000 0.0000 0.2509
0.0000 0.5000 0.7496
0.5000 0.0000 0.7496
0.5000 0.5000 0.2497
0.5000 0.5000 0.7502
0.0000 0.0000 0.3460
0.0000 0.0000 0.6540
0.3338 0.6662 0.0023
0.3343 0.6657 0.4991
0.6662 0.3338 0.0023
0.6657 0.3343 0.4991
```

Peak list (8 most intense, 10° ≤ 2θ ≤ 90°, low angle first)
d 2.570, 34.91°, intensity 76; d 2.346, 38.37°, intensity 44; d 2.226, 40.53°, intensity 47; d 2.184, 41.35°, intensity 100; d 2.071, 43.72°, intensity 24; d 1.960, 46.31°, intensity 35; d 1.285, 73.73°, intensity 28; d 1.216, 78.68°, intensity 27

No. 10
The following is a calculated powder diffraction line list of DyMn4Cr2Ge6. It was derived from a cell relaxed with GGA-PBE, using CuKα.

Structure:
```
DyMn4Cr2Ge6
1.0
5.1282 0.0000 0.0000
0.0000 8.2105 0.0000
-2.5577 0.0000 4.4731
Dy Mn Cr Ge
1 4 2 6
direct
0.0000 0.0000 0.0000
0.0000 0.2508 0.5000
0.5000 0.2500 0.0000
0.5000 0.2507 0.5000
0.5000 0.7490 0.0000
0.0000 0.7497 0.5000
0.5000 0.7498 0.5000
0.0000 0.3456 0.0000
0.0000 0.6541 0.0000
0.3340 0.0011 0.6673
0.3344 0.4982 0.6681
0.6660 0.0011 0.3327
0.6656 0.4982 0.3319
```

Peak list (8 most intense, 10° ≤ 2θ ≤ 90°, low angle first)
d 2.578, 34.80°, intensity 75; d 2.564, 34.99°, intensity 38; d 2.332, 38.60°, intensity 63; d 2.225, 40.55°, intensity 47; d 2.183, 41.36°, intensity 100; d 2.175, 41.52°, intensity 48; d 2.053, 44.12°, intensity 35; d 1.956, 46.43°, intensity 35

No. 11
The following is a calculated powder diffraction line list of DyMgCrS4. It was derived from a cell relaxed with GGA-PBE, using CuKα.

Structure:
```
DyMgCrS4
1.0
-3.7411 3.8283 5.3383
3.7411 -3.8283 5.3383
3.7411 3.8283 -5.3383
Dy Mg Cr S
2 2 2 8
direct
0.0000 0.0000 0.0000
0.5000 0.0000 0.5000
0.3747 0.6247 0.7500
0.6253 0.3753 0.2500
0.0000 0.0000 0.5000
0.0000 0.5000 0.0000
0.2107 0.7452 0.4655
0.2203 0.2548 0.9655
0.2292 0.2292 0.5000
0.2292 0.7291 0.0000
0.7708 0.2709 0.0000
0.7708 0.7708 0.5000
0.7797 0.7452 0.0345
0.7893 0.2548 0.5345
```

Peak list (8 most intense, 10° ≤ 2θ ≤ 90°, low angle first)
d 6.222, 14.23°, intensity 21; d 6.127, 14.46°, intensity 98; d 3.247, 27.47°, intensity 71; d 3.212, 27.77°, intensity 48; d 2.674, 33.52°, intensity 100; d 2.461, 36.50°, intensity 23; d 2.051, 44.16°, intensity 20; d 1.890, 48.15°, intensity 59

- What is the formula in the seventh record?
  DyCr2Ge2